(1)
The following is a calculated powder diffraction line list of Mg4MoH6. It was derived from DFT lattice parameters and positions (PBE), using Cu Kα, 1.54184 Å.
Lines closer than 0.1° are merged.

Structure:
```
Mg4MoH6
1.0
4.214 2.433 3.801
-4.214 2.433 3.801
0.000 -4.866 3.801
Mg Mo H
8 2 12
Direct
0.125 0.750 0.375 Mg
0.250 0.250 0.250 Mg
0.250 0.625 0.875 Mg
0.375 0.125 0.750 Mg
0.625 0.875 0.250 Mg
0.750 0.375 0.125 Mg
0.750 0.750 0.750 Mg
0.875 0.250 0.625 Mg
0.000 0.000 0.000 Mo
0.500 0.500 0.500 Mo
0.020 0.297 0.919 H
0.081 0.980 0.703 H
0.203 0.480 0.581 H
0.297 0.919 0.020 H
0.419 0.797 0.520 H
0.480 0.581 0.203 H
0.520 0.419 0.797 H
0.581 0.203 0.480 H
0.703 0.081 0.980 H
0.797 0.520 0.419 H
0.919 0.020 0.297 H
0.980 0.703 0.081 H
```

Top 12 peaks for 10° ≤ 2θ ≤ 90°, low angle first:
2theta	d (Å)	intensity
19.76	4.493	100
21.08	4.214	88
31.70	2.823	29
33.75	2.655	44
36.17	2.484	27
36.94	2.433	91
40.14	2.247	46
42.92	2.107	16
45.77	1.983	46
47.67	1.908	25
52.84	1.733	22
64.54	1.444	25

---

(2)
The following is a calculated powder diffraction line list of Mg3MoH6. It was derived from DFT lattice parameters and positions (PBE), using Cu Kα, 1.54184 Å.
Lines closer than 0.1° are merged.

Structure:
```
Mg3MoH6
1.0
4.133 2.386 3.224
-4.133 2.386 3.224
0.000 -4.773 3.224
Mg Mo H
6 2 12
Direct
0.044 0.585 0.745 Mg
0.255 0.956 0.415 Mg
0.415 0.255 0.956 Mg
0.585 0.745 0.044 Mg
0.745 0.044 0.585 Mg
0.956 0.415 0.255 Mg
0.000 0.000 0.000 Mo
0.500 0.500 0.500 Mo
0.061 0.305 0.937 H
0.063 0.939 0.695 H
0.200 0.591 0.435 H
0.305 0.937 0.061 H
0.409 0.565 0.800 H
0.435 0.200 0.591 H
0.565 0.800 0.409 H
0.591 0.435 0.200 H
0.695 0.063 0.939 H
0.800 0.409 0.565 H
0.937 0.061 0.305 H
0.939 0.695 0.063 H
```

Top 12 peaks for 10° ≤ 2θ ≤ 90°, low angle first:
2theta	d (Å)	intensity
21.50	4.133	81
22.19	4.007	69
31.09	2.877	60
34.42	2.606	23
37.70	2.386	27
38.11	2.361	100
39.34	2.291	36
49.64	1.837	21
50.63	1.803	29
59.14	1.562	29
60.32	1.534	16
61.78	1.502	15

---

(3)
The following is a calculated powder diffraction line list of Mg2ScMoH8. It was derived from DFT lattice parameters and positions (PBE), using Cu Kα, 1.54184 Å.
Lines closer than 0.1° are merged.

Structure:
```
Mg2ScMoH8
1.0
-2.319 2.319 4.485
2.319 -2.319 4.485
2.319 2.319 -4.485
Mg Sc Mo H
2 1 1 8
Direct
0.000 0.000 0.000 Mg
0.750 0.250 0.500 Mg
0.500 0.500 0.000 Sc
0.250 0.750 0.500 Mo
0.130 0.104 0.500 H
0.130 0.630 0.025 H
0.370 0.395 0.500 H
0.370 0.870 0.975 H
0.605 0.104 0.975 H
0.605 0.630 0.500 H
0.896 0.395 0.025 H
0.896 0.870 0.500 H
```

Top 12 peaks for 10° ≤ 2θ ≤ 90°, low angle first:
2theta	d (Å)	intensity
21.57	4.120	48
33.86	2.648	100
35.73	2.513	13
38.83	2.319	30
40.21	2.243	14
44.84	2.021	13
53.78	1.704	7
56.08	1.640	12
57.13	1.612	22
67.14	1.394	25
69.04	1.360	11
71.23	1.324	10